1.
SrLaVFeO6: theoretical X-ray powder pattern (Cu Kα (weighted mean of Kα1 and Kα2)), based on a structure optimized by DFT (GGA+U).
Peak positions follow from Bragg's law for the DFT cell and can differ from measured ones.

The 12 most intense peaks (2θ from 5° to 70°), by angle:
(1 0 3), 2θ 19.55, intensity 89
(0 0 6), 2θ 22.42, intensity 40
(1 1 0), 2θ 22.71, intensity 78
(1 1 6), 2θ 32.13, intensity 1000
(2 0 0), 2θ 32.33, intensity 492
(2 0 6), 2θ 39.70, intensity 279
(0 0 12), 2θ 45.77, intensity 183
(2 2 0), 2θ 46.37, intensity 351
(2 0 12), 2θ 57.14, intensity 192
(3 1 6), 2θ 57.53, intensity 375
(2 2 12), 2θ 67.20, intensity 208
(4 0 0), 2θ 67.67, intensity 101

Crystal structure
a b c (Å): 5.5380 5.5380 23.7897
angles (deg): 90.00 90.00 90.00
Space group I-4m2 (No. 119)
Unique sites:
Sr 0.0000 0.0000 0.0000 x2
Sr 0.0000 0.0000 0.3333 x4
La 0.0000 0.0000 0.1669 x4
La 0.0000 0.0000 0.5000 x2
V 0.0000 0.5000 0.5829 x4
V 0.0000 0.5000 0.7500 x2
Fe 0.0000 0.5000 0.0834 x4
Fe 0.0000 0.5000 0.2500 x2
O 0.0000 0.5000 0.1666 x4
O 0.0000 0.5000 0.5007 x4
O 0.0000 0.5000 0.6666 x4
O 0.2440 0.2536 0.5829 x16
O 0.2451 0.2549 0.7500 x8

=====

2.
LaTaFeO6: theoretical X-ray powder pattern (Cu Kα (weighted mean of Kα1 and Kα2)), based on a structure optimized by DFT (GGA+U).
Peak positions follow from Bragg's law for the DFT cell and can differ from measured ones.

The 12 most intense peaks (2θ from 5° to 70°), by angle:
(1 0 0), 2θ 19.39, intensity 1000
(1 0 -2), 2θ 19.57, intensity 317
(1 1 -1), 2θ 22.44, intensity 269
(0 2 0), 2θ 31.75, intensity 306
(1 1 1), 2θ 31.96, intensity 659
(2 0 -2), 2θ 32.12, intensity 986
(1 0 2), 2θ 37.75, intensity 289
(2 2 -2), 2θ 45.81, intensity 392
(0 0 4), 2θ 46.05, intensity 214
(1 3 -3), 2θ 56.74, intensity 205
(2 0 2), 2θ 57.06, intensity 346
(3 1 -5), 2θ 57.39, intensity 213

Crystal structure
a b c (Å): 5.5700 5.6362 9.6248
angles (deg): 90.00 125.00 90.00
Space group Pc (No. 7)
Unique sites:
La 0.0000 0.2068 0.0000 x2
Ta 0.7517 0.2683 0.2476 x2
Fe 0.2614 0.2590 0.7530 x2
O 0.0082 0.4634 0.2144 x2
O 0.0464 0.2301 0.4999 x2
O 0.4374 0.2583 0.0033 x2
O 0.5198 0.0179 0.2741 x2
O 0.5876 0.4623 0.7908 x2
O 0.9727 0.0113 0.7303 x2